[1]
Starting from DFT lattice parameters and positions (GGA-PBE), the powder XRD pattern of La3Pr4Dy4 was calculated for copper Kα.
Intensities are scaled so that the largest is 100.

Cell and atoms:
Lattice parameters (Å, degrees): 22.7225 9.5913 3.6624 90.00 99.25 90.00
Space group C2/m (No. 12)
One atom of each set of equivalent atoms:
La 0.0000 0.0000 0.0000 [2 per cell]
La 0.1089 0.5000 0.1084 [4 per cell]
Pr 0.1470 0.1785 0.6460 [8 per cell]
Dy 0.0000 0.3188 0.5000 [4 per cell]
Dy 0.2414 0.5000 0.7426 [4 per cell]

Principal peaks in the range 2θ = 10–80°, by angle:
2θ = 30.38°, 2.942 Å, rel. 90, hkl 3 3 0
2θ = 30.61°, 2.921 Å, rel. 100, hkl 3 1 1
2θ = 30.98°, 2.886 Å, rel. 50, hkl 0 2 1
2θ = 31.92°, 2.803 Å, rel. 29, hkl 8 0 0
2θ = 41.94°, 2.154 Å, rel. 27, hkl 8 2 -1
2θ = 56.04°, 1.641 Å, rel. 31, hkl 9 3 1
2θ = 56.60°, 1.626 Å, rel. 29, hkl 3 5 1
2θ = 59.45°, 1.555 Å, rel. 27, hkl 5 3 -2

[2]
Starting from DFT lattice parameters and positions (GGA-PBE), the powder XRD pattern of Rb2CrNiSe4 was calculated for copper Kα.
Intensities are scaled so that the largest is 100.

Cell and atoms:
Lattice parameters (Å, degrees): 5.4743 14.0348 24.5318 90.00 90.00 90.00
Space group Fddd (No. 70, origin choice 2)
One atom of each set of equivalent atoms:
Rb 0.1250 0.1250 0.3038 [16 per cell]
Cr 0.1250 0.1250 0.1250 [8 per cell]
Ni 0.1250 0.1250 0.6250 [8 per cell]
Se 0.1155 0.2812 0.4288 [32 per cell]

Principal peaks in the range 2θ = 10–80°, by angle:
2θ = 14.49°, 6.112 Å, rel. 54, hkl 0 0 4
2θ = 25.21°, 3.533 Å, rel. 32, hkl 0 2 6
2θ = 27.35°, 3.261 Å, rel. 100, hkl 1 3 3
2θ = 29.12°, 3.066 Å, rel. 23, hkl 0 0 8
2θ = 31.05°, 2.880 Å, rel. 72, hkl 1 3 5
2θ = 39.62°, 2.275 Å, rel. 31, hkl 2 0 6
2θ = 51.38°, 1.778 Å, rel. 29, hkl 2 6 0
2θ = 55.14°, 1.666 Å, rel. 23, hkl 3 3 3

[3]
Starting from DFT lattice parameters and positions (GGA-PBE), the powder XRD pattern of Nb3Cr3N was calculated for copper Kα.
Intensities are scaled so that the largest is 100.

Cell and atoms:
Lattice parameters (Å, degrees): 11.5050 11.5050 11.5050 90.00 90.00 90.00
Space group Fd-3m (No. 227, origin choice 2)
One atom of each set of equivalent atoms:
Nb 0.0681 0.3750 0.3750 [48 per cell]
Cr 0.0000 0.0000 0.5000 [16 per cell]
Cr 0.0468 0.0468 0.7032 [32 per cell]
N 0.0000 0.0000 0.0000 [16 per cell]

Principal peaks in the range 2θ = 10–80°, by angle:
2θ = 33.96°, 2.639 Å, rel. 20, hkl 3 3 1
2θ = 38.33°, 2.348 Å, rel. 46, hkl 4 2 2
2θ = 40.75°, 2.214 Å, rel. 100, hkl 3 3 3
2θ = 44.55°, 2.034 Å, rel. 29, hkl 4 4 0
2θ = 57.18°, 1.611 Å, rel. 10, hkl 5 5 1
2θ = 66.53°, 1.406 Å, rel. 10, hkl 7 3 3
2θ = 69.30°, 1.356 Å, rel. 41, hkl 6 6 0
2θ = 70.94°, 1.328 Å, rel. 9, hkl 5 5 5

[4]
Starting from DFT lattice parameters and positions (GGA-PBE), the powder XRD pattern of CePuH was calculated for copper Kα.
Intensities are scaled so that the largest is 100.

Cell and atoms:
Lattice parameters (Å, degrees): 7.6828 3.7796 7.0366 90.00 103.44 90.00
Space group P2_1/c (No. 14)
One atom of each set of equivalent atoms:
Ce 0.1928 0.2491 0.4231 [4 per cell]
Pu 0.4102 0.5304 0.7275 [4 per cell]
H 0.1342 0.7323 0.1597 [4 per cell]

Principal peaks in the range 2θ = 10–80°, by angle:
2θ = 11.84°, 7.472 Å, rel. 100, hkl 1 0 0
2θ = 26.02°, 3.425 Å, rel. 33, hkl 0 0 2
2θ = 31.07°, 2.879 Å, rel. 43, hkl 2 0 -2
2θ = 31.17°, 2.869 Å, rel. 42, hkl 1 0 2
2θ = 34.12°, 2.628 Å, rel. 29, hkl 2 1 -1
2θ = 38.31°, 2.349 Å, rel. 28, hkl 2 1 1
2θ = 53.55°, 1.711 Å, rel. 25, hkl 3 1 -3
2θ = 55.54°, 1.655 Å, rel. 34, hkl 1 2 -2

[5]
Starting from DFT lattice parameters and positions (GGA-PBE), the powder XRD pattern of Rb2CdSi2S6 was calculated for copper Kα.
Intensities are scaled so that the largest is 100.

Cell and atoms:
Lattice parameters (Å, degrees): 7.0185 7.0185 22.9337 90.00 90.00 120.00
Space group R-3m (No. 166, hexagonal axes)
One atom of each set of equivalent atoms:
Rb 0.0000 0.0000 0.2187 [6 per cell]
Cd 0.0000 0.0000 0.0000 [3 per cell]
Si 0.0000 0.0000 0.4090 [6 per cell]
S 0.0027 0.5013 0.7487 [18 per cell]

Principal peaks in the range 2θ = 10–80°, by angle:
2θ = 15.08°, 5.875 Å, rel. 30, hkl 1 0 1
2θ = 24.31°, 3.661 Å, rel. 100, hkl 0 1 5
2θ = 25.38°, 3.509 Å, rel. 69, hkl 1 1 0
2θ = 33.37°, 2.685 Å, rel. 70, hkl 0 2 4
2θ = 35.43°, 2.533 Å, rel. 35, hkl 2 0 5
2θ = 43.91°, 2.062 Å, rel. 28, hkl 1 1 9
2θ = 44.09°, 2.054 Å, rel. 40, hkl 1 2 5
2θ = 52.13°, 1.755 Å, rel. 34, hkl 2 2 0

[6]
Starting from DFT lattice parameters and positions (GGA-PBE), the powder XRD pattern of BaBiSbRh was calculated for copper Kα.
Intensities are scaled so that the largest is 100.

Cell and atoms:
Lattice parameters (Å, degrees): 4.5992 4.5992 11.6978 90.00 90.00 90.00
Space group P4/nmm (No. 129, origin choice 2)
One atom of each set of equivalent atoms:
Ba 0.2500 0.2500 0.2497 [2 per cell]
Bi 0.2500 0.7500 0.0000 [2 per cell]
Sb 0.2500 0.2500 0.6111 [2 per cell]
Rh 0.2500 0.7500 0.5000 [2 per cell]

Principal peaks in the range 2θ = 10–80°, by angle:
2θ = 15.15°, 5.849 Å, rel. 32, hkl 0 0 2
2θ = 28.49°, 3.133 Å, rel. 27, hkl 1 1 1
2θ = 30.05°, 2.974 Å, rel. 35, hkl 1 0 3
2θ = 31.48°, 2.842 Å, rel. 100, hkl 1 1 2
2θ = 39.17°, 2.300 Å, rel. 49, hkl 2 0 0
2θ = 41.53°, 2.175 Å, rel. 23, hkl 1 1 4
2θ = 54.91°, 1.672 Å, rel. 30, hkl 1 1 6
2θ = 66.21°, 1.411 Å, rel. 24, hkl 3 1 2

[7]
Starting from DFT lattice parameters and positions (GGA-PBE), the powder XRD pattern of Cs3Li2HoI9 was calculated for copper Kα.
Intensities are scaled so that the largest is 100.

Cell and atoms:
Lattice parameters (Å, degrees): 8.4506 8.4506 10.5222 90.00 90.00 120.00
Space group P-3m1 (No. 164)
One atom of each set of equivalent atoms:
Cs 0.0000 0.0000 0.0000 [1 per cell]
Cs 0.3333 0.6667 0.6748 [2 per cell]
Li 0.3333 0.6667 0.1407 [2 per cell]
Ho 0.0000 0.0000 0.5000 [1 per cell]
I 0.0000 0.5000 0.0000 [3 per cell]
I 0.1677 0.3353 0.3343 [6 per cell]

Principal peaks in the range 2θ = 10–80°, by angle:
2θ = 25.39°, 3.507 Å, rel. 31, hkl 0 0 3
2θ = 25.78°, 3.456 Å, rel. 92, hkl 0 2 1
2θ = 29.74°, 3.004 Å, rel. 100, hkl 2 0 2
2θ = 42.31°, 2.136 Å, rel. 37, hkl 0 2 4
2θ = 42.80°, 2.113 Å, rel. 36, hkl 2 2 0
2θ = 50.43°, 1.810 Å, rel. 28, hkl 2 2 3
2θ = 52.99°, 1.728 Å, rel. 19, hkl 0 4 2
2θ = 69.68°, 1.349 Å, rel. 17, hkl 2 2 6

[8]
Starting from DFT lattice parameters and positions (GGA-PBE), the powder XRD pattern of CsScMn2I8 was calculated for copper Kα.
Intensities are scaled so that the largest is 100.

Cell and atoms:
Lattice parameters (Å, degrees): 7.2972 7.2972 35.2276 90.00 90.00 120.00
Space group R32 (No. 155, hexagonal axes)
One atom of each set of equivalent atoms:
Cs 0.0000 0.0000 0.0000 [3 per cell]
Sc 0.0000 0.0000 0.5000 [3 per cell]
Mn 0.0000 0.0000 0.2422 [6 per cell]
I 0.0000 0.0000 0.3168 [6 per cell]
I 0.0167 0.3164 0.5545 [18 per cell]

Principal peaks in the range 2θ = 10–80°, by angle:
2θ = 22.72°, 3.914 Å, rel. 68, hkl 0 0 9
2θ = 24.40°, 3.649 Å, rel. 69, hkl 1 1 0
2θ = 25.57°, 3.484 Å, rel. 100, hkl 1 1 3
2θ = 28.81°, 3.099 Å, rel. 58, hkl 1 1 6
2θ = 33.58°, 2.669 Å, rel. 56, hkl 1 1 9
2θ = 39.40°, 2.287 Å, rel. 39, hkl 1 1 12
2θ = 42.93°, 2.107 Å, rel. 51, hkl 3 0 0
2θ = 49.11°, 1.855 Å, rel. 43, hkl 3 0 9

[9]
Starting from DFT lattice parameters and positions (GGA-PBE), the powder XRD pattern of Sc3As2Se was calculated for copper Kα.
Intensities are scaled so that the largest is 100.

Cell and atoms:
Lattice parameters (Å, degrees): 3.8789 5.4885 11.6235 90.00 90.00 90.00
Space group Immm (No. 71)
One atom of each set of equivalent atoms:
Sc 0.0000 0.0000 0.0000 [2 per cell]
Sc 0.0000 0.0000 0.3268 [4 per cell]
As 0.0000 0.5000 0.3350 [4 per cell]
Se 0.0000 0.5000 0.0000 [2 per cell]

Principal peaks in the range 2θ = 10–80°, by angle:
2θ = 28.18°, 3.166 Å, rel. 14, hkl 0 1 3
2θ = 32.66°, 2.742 Å, rel. 100, hkl 0 2 0
2θ = 46.85°, 1.939 Å, rel. 70, hkl 2 0 0
2θ = 55.58°, 1.654 Å, rel. 7, hkl 1 1 6
2θ = 58.28°, 1.583 Å, rel. 23, hkl 2 2 0
2θ = 68.42°, 1.371 Å, rel. 11, hkl 0 4 0
2θ = 77.88°, 1.227 Å, rel. 24, hkl 3 0 3
2θ = 77.97°, 1.225 Å, rel. 5, hkl 1 0 9

[10]
Starting from DFT lattice parameters and positions (GGA-PBE), the powder XRD pattern of BaTi4SnO12 was calculated for copper Kα.
Intensities are scaled so that the largest is 100.

Cell and atoms:
Lattice parameters (Å, degrees): 5.5541 5.5541 7.7459 90.00 90.00 90.00
Space group P4/mmm (No. 123)
One atom of each set of equivalent atoms:
Ba 0.0000 0.0000 0.0000 [1 per cell]
Ti 0.0000 0.5000 0.2533 [4 per cell]
Sn 0.5000 0.5000 0.5000 [1 per cell]
O 0.0000 0.5000 0.0000 [2 per cell]
O 0.0000 0.5000 0.5000 [2 per cell]
O 0.2578 0.2578 0.2659 [8 per cell]

Principal peaks in the range 2θ = 10–80°, by angle:
2θ = 19.67°, 4.514 Å, rel. 100, hkl 1 0 1
2θ = 32.23°, 2.777 Å, rel. 32, hkl 2 0 0
2θ = 32.47°, 2.758 Å, rel. 63, hkl 1 1 2
2θ = 38.04°, 2.365 Å, rel. 37, hkl 2 1 1
2θ = 38.45°, 2.341 Å, rel. 18, hkl 1 0 3
2θ = 46.23°, 1.964 Å, rel. 32, hkl 2 2 0
2θ = 57.63°, 1.600 Å, rel. 25, hkl 3 1 2
2θ = 67.99°, 1.379 Å, rel. 17, hkl 2 2 4

[11]
Starting from DFT lattice parameters and positions (GGA-PBE), the powder XRD pattern of BaTl3Ag2 was calculated for copper Kα.
Intensities are scaled so that the largest is 100.

Cell and atoms:
Lattice parameters (Å, degrees): 19.1068 4.8741 11.7430 90.00 106.49 90.00
Space group C2/m (No. 12)
One atom of each set of equivalent atoms:
Ba 0.0000 0.0000 0.0000 [2 per cell]
Ba 0.1607 0.0000 0.7018 [4 per cell]
Tl 0.0000 0.5000 0.5000 [2 per cell]
Tl 0.0402 0.0000 0.3495 [4 per cell]
Tl 0.1196 0.5000 0.1938 [4 per cell]
Tl 0.1729 0.5000 0.9609 [4 per cell]
Tl 0.2123 0.0000 0.3787 [4 per cell]
Ag 0.0320 0.5000 0.7842 [4 per cell]
Ag 0.1437 0.5000 0.4580 [4 per cell]
Ag 0.1970 0.0000 0.1203 [4 per cell]

Principal peaks in the range 2θ = 10–80°, by angle:
2θ = 14.09°, 6.286 Å, rel. 24, hkl 2 0 1
2θ = 25.99°, 3.428 Å, rel. 20, hkl 3 1 1
2θ = 29.31°, 3.047 Å, rel. 100, hkl 1 1 -3
2θ = 31.06°, 2.880 Å, rel. 25, hkl 5 1 -2
2θ = 36.88°, 2.437 Å, rel. 48, hkl 0 2 0
2θ = 37.81°, 2.379 Å, rel. 27, hkl 7 1 -1
2θ = 38.43°, 2.343 Å, rel. 21, hkl 1 1 4
2θ = 39.04°, 2.307 Å, rel. 27, hkl 5 1 -4

[12]
Starting from DFT lattice parameters and positions (GGA-PBE), the powder XRD pattern of Rb3PuCu2F9 was calculated for copper Kα.
Intensities are scaled so that the largest is 100.

Cell and atoms:
Lattice parameters (Å, degrees): 6.1555 6.1555 7.8268 90.00 90.00 120.00
Space group P-3m1 (No. 164)
One atom of each set of equivalent atoms:
Rb 0.0000 0.0000 0.0000 [1 per cell]
Rb 0.3333 0.6667 0.7169 [2 per cell]
Pu 0.0000 0.0000 0.5000 [1 per cell]
Cu 0.3333 0.6667 0.1505 [2 per cell]
F 0.0000 0.5000 0.0000 [3 per cell]
F 0.1682 0.3365 0.3295 [6 per cell]

Principal peaks in the range 2θ = 10–80°, by angle:
2θ = 16.63°, 5.331 Å, rel. 26, hkl 1 0 0
2θ = 20.15°, 4.406 Å, rel. 51, hkl 0 1 1
2θ = 28.29°, 3.155 Å, rel. 100, hkl 0 1 2
2θ = 29.01°, 3.078 Å, rel. 88, hkl 1 1 0
2θ = 40.97°, 2.203 Å, rel. 70, hkl 2 0 2
2θ = 50.98°, 1.791 Å, rel. 40, hkl 1 2 2
2θ = 51.42°, 1.777 Å, rel. 18, hkl 3 0 0
2θ = 60.13°, 1.539 Å, rel. 21, hkl 2 2 0